# Sr2EuNbO6
Theoretical powder X-ray diffraction pattern, λ = 1.5418 Å (Cu Kα). Input: a PBE-relaxed structure.

Top 6 peaks for 15° ≤ 2θ ≤ 90°, by angle:
d 2.989, 29.89°, I = 100.0; d 2.114, 42.78°, I = 29.0; d 1.726, 53.06°, I = 44.4; d 1.495, 62.10°, I = 16.8; d 1.337, 70.43°, I = 18.1; d 1.130, 86.05°, I = 22.7

Lattice parameters (Å, degrees): 8.455 8.455 8.455 90.00 90.00 90.00
Positions (direct):
Sr: 0.250 0.250 0.250
Sr: 0.250 0.250 0.750
Sr: 0.250 0.750 0.250
Sr: 0.250 0.750 0.750
Sr: 0.750 0.250 0.250
Sr: 0.750 0.250 0.750
Sr: 0.750 0.750 0.250
Sr: 0.750 0.750 0.750
Eu: 0.000 0.000 0.000
Eu: 0.000 0.500 0.500
Eu: 0.500 0.000 0.500
Eu: 0.500 0.500 0.000
Nb: 0.000 0.000 0.500
Nb: 0.000 0.500 0.000
Nb: 0.500 0.000 0.000
Nb: 0.500 0.500 0.500
O: 0.034 0.542 0.767
O: 0.034 0.958 0.733
O: 0.042 0.233 0.534
O: 0.042 0.267 0.966
O: 0.233 0.534 0.042
O: 0.233 0.966 0.458
O: 0.267 0.534 0.458
O: 0.267 0.966 0.042
O: 0.458 0.233 0.966
O: 0.458 0.267 0.534
O: 0.466 0.542 0.733
O: 0.466 0.958 0.767
O: 0.534 0.042 0.233
O: 0.534 0.458 0.267
O: 0.542 0.733 0.466
O: 0.542 0.767 0.034
O: 0.733 0.034 0.958
O: 0.733 0.466 0.542
O: 0.767 0.034 0.542
O: 0.767 0.466 0.958
O: 0.958 0.733 0.034
O: 0.958 0.767 0.466
O: 0.966 0.042 0.267
O: 0.966 0.458 0.233

---

# Ca2Sb
Theoretical powder X-ray diffraction pattern, λ = 1.5418 Å (Cu Kα). Input: a PBE-relaxed structure.

Top 6 peaks for 15° ≤ 2θ ≤ 90°, by angle:
d 4.607, 19.27°, I = 49.6; d 3.388, 26.30°, I = 48.2; d 3.141, 28.42°, I = 38.7; d 2.634, 34.04°, I = 100.0; d 2.396, 37.54°, I = 53.8; d 1.425, 65.51°, I = 27.6

Lattice parameters (Å, degrees): 9.033 9.033 9.033 149.24 149.24 44.06
Positions (direct):
Ca: 0.000 0.500 0.500
Ca: 0.174 0.174 0.000
Ca: 0.500 0.000 0.500
Ca: 0.826 0.826 0.000
Sb: 0.364 0.364 0.000
Sb: 0.636 0.636 0.000

---

# Ce2Cu11Au
Theoretical powder X-ray diffraction pattern, λ = 1.5418 Å (Cu Kα). Input: a PBE-relaxed structure.

Top 6 peaks for 15° ≤ 2θ ≤ 90°, by angle:
d 2.522, 35.60°, I = 25.7; d 2.449, 36.69°, I = 27.6; d 2.327, 38.69°, I = 100.0; d 2.099, 43.10°, I = 24.0; d 1.996, 45.45°, I = 46.5; d 1.970, 46.07°, I = 29.9

Lattice parameters (Å, degrees): 5.044 10.272 8.144 90.00 90.00 90.00
Positions (direct):
Ce: 0.000 0.183 0.000
Ce: 0.000 0.817 0.500
Ce: 0.500 0.313 0.480
Ce: 0.500 0.687 0.980
Cu: 0.000 0.110 0.384
Cu: 0.000 0.264 0.644
Cu: 0.000 0.348 0.300
Cu: 0.000 0.498 0.555
Cu: 0.000 0.502 0.055
Cu: 0.000 0.652 0.800
Cu: 0.000 0.736 0.144
Cu: 0.000 0.890 0.884
Cu: 0.243 0.060 0.674
Cu: 0.243 0.940 0.174
Cu: 0.250 0.437 0.805
Cu: 0.250 0.563 0.305
Cu: 0.500 0.001 0.424
Cu: 0.500 0.144 0.185
Cu: 0.500 0.232 0.830
Cu: 0.500 0.768 0.330
Cu: 0.500 0.856 0.685
Cu: 0.500 0.999 0.924
Cu: 0.750 0.437 0.805
Cu: 0.750 0.563 0.305
Cu: 0.757 0.060 0.674
Cu: 0.757 0.940 0.174
Au: 0.500 0.389 0.100
Au: 0.500 0.611 0.600

---

# Fe3N
Theoretical powder X-ray diffraction pattern, λ = 1.5418 Å (Cu Kα). Input: a PBE-relaxed structure.

Top 6 peaks for 15° ≤ 2θ ≤ 90°, by angle:
d 2.328, 38.67°, I = 18.1; d 2.154, 41.95°, I = 22.6; d 2.048, 44.22°, I = 100.0; d 1.581, 58.36°, I = 17.2; d 1.344, 69.98°, I = 16.6; d 1.222, 78.21°, I = 15.9

Lattice parameters (Å, degrees): 4.657 4.657 17.231 90.00 90.00 120.00
Positions (direct):
Fe: 0.000 0.326 0.188
Fe: 0.000 0.327 0.937
Fe: 0.000 0.328 0.687
Fe: 0.000 0.672 0.313
Fe: 0.000 0.673 0.063
Fe: 0.000 0.674 0.812
Fe: 0.006 0.340 0.438
Fe: 0.006 0.666 0.562
Fe: 0.326 0.000 0.188
Fe: 0.326 0.326 0.812
Fe: 0.327 0.000 0.937
Fe: 0.327 0.327 0.063
Fe: 0.328 0.000 0.687
Fe: 0.328 0.328 0.313
Fe: 0.334 0.340 0.562
Fe: 0.334 0.994 0.438
Fe: 0.660 0.666 0.438
Fe: 0.660 0.994 0.562
Fe: 0.672 0.000 0.313
Fe: 0.672 0.672 0.687
Fe: 0.673 0.000 0.063
Fe: 0.673 0.673 0.937
Fe: 0.674 0.000 0.812
Fe: 0.674 0.674 0.188
N: 0.000 0.000 0.500
N: 0.333 0.667 0.000
N: 0.333 0.667 0.251
N: 0.333 0.667 0.749
N: 0.667 0.333 0.125
N: 0.667 0.333 0.375
N: 0.667 0.333 0.625
N: 0.667 0.333 0.875